Starting from a structure optimized by DFT (PBE), the PXRD pattern of LiY4Bi4O12 was simulated for copper Kα.
Peak positions follow from Bragg's law for the DFT cell and can differ from measured ones.

Cell and atoms:
abc: 5.5870 10.1485 5.9314
angles: 90.00 90.11 90.00
Space group Pm (No. 6)
Inequivalent atoms, fractional coordinates:
1 Li 0.0000 0.0000 0.0000
2 Y 0.0916 0.0000 0.4367
3 Y 0.4969 0.0000 0.8804
4 Y 0.6134 0.5000 0.8228
5 Y 0.9950 0.5000 0.3373
6 Bi 0.1162 0.3081 0.8499
7 Bi 0.5706 0.2230 0.3386
8 O 0.2490 0.1362 0.1138
9 O 0.2743 0.5000 0.0549
10 O 0.2862 0.5000 0.5985
11 O 0.3403 0.1404 0.6197
12 O 0.7347 0.0000 0.2207
13 O 0.8042 0.3588 0.0721
14 O 0.8162 0.3564 0.5871
15 O 0.8546 0.0000 0.7260

Most intense lines, 10 to 90 degrees two-theta, sorted by position:
2θ (°)	d [Å]	I/Imax
21.85	4.067	24
28.12	3.173	100
30.13	2.966	19
30.42	2.939	14
30.90	2.894	12
32.04	2.794	14
35.39	2.537	10
43.70	2.071	13
44.56	2.033	18
52.29	1.749	17
54.74	1.677	10
58.31	1.583	9